[1]
This entry pairs a crystal structure of Tl3Cr2 with its calculated powder diffractogram. Radiation: copper Kα. Structure: a GGA-PBE-relaxed structure.
Intensities are scaled so that the largest is 100.

abc: 7.798 6.230 9.095
angles: 57.60 42.42 79.98
Sites, in units of the cell vectors:
Tl 0.000 0.000 0.000
Tl 0.250 0.250 0.250
Tl 0.472 0.546 0.321
Tl 0.546 0.472 0.661
Tl 0.589 0.929 0.704
Tl 0.929 0.589 0.778
Cr 0.133 0.764 0.275
Cr 0.422 0.975 0.486
Cr 0.764 0.133 0.828
Cr 0.975 0.422 0.117

Peak list (6 most intense, 10 to 90 degrees two-theta, sorted by position)
| two_theta | I/Imax |
| --- | --- |
| 20.26 | 25.8 |
| 25.32 | 40.5 |
| 34.34 | 41.4 |
| 34.88 | 100.0 |
| 35.59 | 88.4 |
| 37.11 | 31.6 |

=====

[2]
This entry pairs a crystal structure of TlCrW2 with its calculated powder diffractogram. Radiation: copper Kα. Structure: a GGA-PBE-relaxed structure.
Intensities are scaled so that the largest is 100.

abc: 3.197 4.704 9.022
angles: 90.00 90.00 90.00
Sites, in units of the cell vectors:
Tl 0.000 0.000 0.000
Tl 0.500 0.500 0.000
Cr 0.000 0.500 0.740
Cr 0.500 0.000 0.740
W 0.000 0.000 0.525
W 0.000 0.500 0.283
W 0.500 0.000 0.283
W 0.500 0.500 0.525

Peak list (6 most intense, 10 to 90 degrees two-theta, sorted by position)
| two_theta | I/Imax |
| --- | --- |
| 38.27 | 28.0 |
| 39.50 | 100.0 |
| 39.97 | 21.1 |
| 56.53 | 15.5 |
| 70.01 | 18.4 |
| 72.28 | 12.6 |

=====

[3]
This entry pairs a crystal structure of TmCr6 with its calculated powder diffractogram. Radiation: copper Kα. Structure: a GGA-PBE-relaxed structure.
Intensities are scaled so that the largest is 100.

abc: 6.218 6.218 6.218
angles: 90.00 90.00 90.00
Sites, in units of the cell vectors:
Tm 0.000 0.000 0.000
Tm 0.500 0.500 0.500
Cr 0.000 0.250 0.500
Cr 0.000 0.500 0.250
Cr 0.000 0.500 0.750
Cr 0.000 0.750 0.500
Cr 0.250 0.000 0.500
Cr 0.250 0.500 0.000
Cr 0.500 0.000 0.250
Cr 0.500 0.000 0.750
Cr 0.500 0.250 0.000
Cr 0.500 0.750 0.000
Cr 0.750 0.000 0.500
Cr 0.750 0.500 0.000

Peak list (6 most intense, 10 to 90 degrees two-theta, sorted by position)
| two_theta | I/Imax |
| --- | --- |
| 28.71 | 43.8 |
| 35.36 | 100.0 |
| 55.28 | 52.9 |
| 59.46 | 15.9 |
| 67.35 | 14.2 |
| 85.54 | 14.8 |

=====

[4]
This entry pairs a crystal structure of V8Cr with its calculated powder diffractogram. Radiation: copper Kα. Structure: a GGA-PBE-relaxed structure.
Intensities are scaled so that the largest is 100.

abc: 6.503 6.503 6.503
angles: 92.99 92.99 153.58
Sites, in units of the cell vectors:
V 0.000 0.334 0.334
V 0.000 0.666 0.666
V 0.334 0.000 0.334
V 0.337 0.337 0.674
V 0.337 0.663 0.000
V 0.663 0.337 0.000
V 0.663 0.663 0.326
V 0.666 0.000 0.666
Cr 0.000 0.000 0.000

Peak list (5 most intense, 10 to 90 degrees two-theta, sorted by position)
| two_theta | I/Imax |
| --- | --- |
| 42.91 | 100.0 |
| 62.21 | 9.8 |
| 62.49 | 4.9 |
| 78.56 | 18.6 |
| 78.75 | 9.3 |

=====

[5]
This entry pairs a crystal structure of V3Cr4 with its calculated powder diffractogram. Radiation: copper Kα. Structure: a GGA-PBE-relaxed structure.
Intensities are scaled so that the largest is 100.

abc: 6.343 6.343 6.343
angles: 37.75 37.75 37.75
Sites, in units of the cell vectors:
V 0.000 0.000 0.000
V 0.148 0.148 0.148
V 0.428 0.428 0.428
Cr 0.286 0.286 0.286
Cr 0.574 0.574 0.574
Cr 0.716 0.716 0.716
Cr 0.858 0.858 0.858

Peak list (5 most intense, 10 to 90 degrees two-theta, sorted by position)
| two_theta | I/Imax |
| --- | --- |
| 44.03 | 100.0 |
| 44.14 | 99.8 |
| 64.11 | 28.8 |
| 80.90 | 13.6 |
| 81.15 | 41.3 |

=====

[6]
This entry pairs a crystal structure of V3Cr4 with its calculated powder diffractogram. Radiation: copper Kα. Structure: a GGA-PBE-relaxed structure.
Intensities are scaled so that the largest is 100.

abc: 6.485 6.485 6.485
angles: 113.51 113.51 113.51
Sites, in units of the cell vectors:
V 0.071 0.785 0.643
V 0.215 0.357 0.929
V 0.357 0.929 0.215
V 0.643 0.071 0.785
V 0.785 0.643 0.071
V 0.929 0.215 0.357
Cr 0.000 0.000 0.000
Cr 0.145 0.570 0.287
Cr 0.287 0.145 0.570
Cr 0.430 0.713 0.855
Cr 0.500 0.500 0.500
Cr 0.570 0.287 0.145
Cr 0.713 0.855 0.430
Cr 0.855 0.430 0.713

Peak list (6 most intense, 10 to 90 degrees two-theta, sorted by position)
| two_theta | I/Imax |
| --- | --- |
| 44.01 | 100.0 |
| 44.18 | 98.7 |
| 64.13 | 28.7 |
| 80.80 | 13.9 |
| 81.17 | 27.4 |
| 81.29 | 13.6 |

=====

[7]
This entry pairs a crystal structure of V3Cr5 with its calculated powder diffractogram. Radiation: copper Kα. Structure: a GGA-PBE-relaxed structure.
Intensities are scaled so that the largest is 100.

abc: 5.790 5.790 5.790
angles: 90.00 90.00 90.00
Sites, in units of the cell vectors:
V 0.000 0.000 0.500
V 0.000 0.500 0.000
V 0.000 0.500 0.500
V 0.500 0.000 0.000
V 0.500 0.000 0.500
V 0.500 0.500 0.000
Cr 0.000 0.000 0.000
Cr 0.250 0.250 0.250
Cr 0.250 0.250 0.750
Cr 0.250 0.750 0.250
Cr 0.250 0.750 0.750
Cr 0.500 0.500 0.500
Cr 0.750 0.250 0.250
Cr 0.750 0.250 0.750
Cr 0.750 0.750 0.250
Cr 0.750 0.750 0.750

Peak list (3 most intense, 10 to 90 degrees two-theta, sorted by position)
| two_theta | I/Imax |
| --- | --- |
| 44.24 | 100.0 |
| 64.36 | 14.4 |
| 81.42 | 27.6 |

=====

[8]
This entry pairs a crystal structure of VCr7 with its calculated powder diffractogram. Radiation: copper Kα. Structure: a GGA-PBE-relaxed structure.
Intensities are scaled so that the largest is 100.

abc: 4.050 4.050 11.461
angles: 90.00 90.00 90.00
Sites, in units of the cell vectors:
V 0.000 0.000 0.000
V 0.500 0.500 0.500
Cr 0.000 0.000 0.250
Cr 0.000 0.000 0.500
Cr 0.000 0.000 0.750
Cr 0.000 0.500 0.126
Cr 0.000 0.500 0.374
Cr 0.000 0.500 0.626
Cr 0.000 0.500 0.874
Cr 0.500 0.000 0.126
Cr 0.500 0.000 0.374
Cr 0.500 0.000 0.626
Cr 0.500 0.000 0.874
Cr 0.500 0.500 0.000
Cr 0.500 0.500 0.250
Cr 0.500 0.500 0.750

Peak list (3 most intense, 10 to 90 degrees two-theta, sorted by position)
| two_theta | I/Imax |
| --- | --- |
| 44.74 | 100.0 |
| 65.13 | 14.3 |
| 82.49 | 27.4 |

=====

[9]
This entry pairs a crystal structure of V13Cr3 with its calculated powder diffractogram. Radiation: copper Kα. Structure: a GGA-PBE-relaxed structure.
Intensities are scaled so that the largest is 100.

abc: 5.921 5.940 5.940
angles: 88.92 90.00 90.00
Sites, in units of the cell vectors:
V 0.000 0.000 0.000
V 0.000 0.003 0.490
V 0.000 0.490 0.003
V 0.000 0.494 0.494
V 0.252 0.747 0.747
V 0.253 0.242 0.750
V 0.253 0.750 0.242
V 0.500 0.003 0.489
V 0.500 0.489 0.003
V 0.500 0.493 0.493
V 0.747 0.242 0.750
V 0.747 0.750 0.242
V 0.748 0.747 0.747
Cr 0.251 0.245 0.245
Cr 0.500 0.997 0.997
Cr 0.749 0.245 0.245

Peak list (6 most intense, 10 to 90 degrees two-theta, sorted by position)
| two_theta | I/Imax |
| --- | --- |
| 42.65 | 26.0 |
| 43.15 | 100.0 |
| 43.50 | 24.2 |
| 62.56 | 14.6 |
| 78.43 | 14.3 |
| 79.62 | 13.5 |

=====

[10]
This entry pairs a crystal structure of VCr4W with its calculated powder diffractogram. Radiation: copper Kα. Structure: a GGA-PBE-relaxed structure.
Intensities are scaled so that the largest is 100.

abc: 6.354 6.354 6.041
angles: 110.55 110.55 43.68
Sites, in units of the cell vectors:
V 0.000 0.500 0.000
V 0.500 0.000 0.500
Cr 0.025 0.805 0.840
Cr 0.133 0.523 0.412
Cr 0.195 0.975 0.660
Cr 0.477 0.867 0.088
Cr 0.523 0.133 0.912
Cr 0.805 0.025 0.340
Cr 0.867 0.477 0.588
Cr 0.975 0.195 0.160
W 0.410 0.590 0.250
W 0.590 0.410 0.750

Peak list (6 most intense, 10 to 90 degrees two-theta, sorted by position)
| two_theta | I/Imax |
| --- | --- |
| 16.23 | 40.8 |
| 20.47 | 31.6 |
| 37.50 | 45.5 |
| 41.48 | 100.0 |
| 42.84 | 49.1 |
| 49.64 | 35.1 |

=====

[11]
This entry pairs a crystal structure of V3Cr2W4 with its calculated powder diffractogram. Radiation: copper Kα. Structure: a GGA-PBE-relaxed structure.
Intensities are scaled so that the largest is 100.

abc: 7.474 7.474 4.874
angles: 99.55 99.55 81.06
Sites, in units of the cell vectors:
V 0.001 0.999 0.750
V 0.337 0.459 0.949
V 0.459 0.337 0.449
V 0.541 0.663 0.551
V 0.663 0.541 0.051
V 0.999 0.001 0.250
Cr 0.133 0.305 0.595
Cr 0.305 0.133 0.095
Cr 0.695 0.867 0.905
Cr 0.867 0.695 0.405
W 0.001 0.341 0.091
W 0.196 0.657 0.460
W 0.341 0.001 0.591
W 0.343 0.804 0.040
W 0.657 0.196 0.960
W 0.659 0.999 0.409
W 0.804 0.343 0.540
W 0.999 0.659 0.909

Peak list (6 most intense, 10 to 90 degrees two-theta, sorted by position)
| two_theta | I/Imax |
| --- | --- |
| 18.26 | 100.0 |
| 35.08 | 66.9 |
| 37.79 | 75.0 |
| 42.07 | 73.1 |
| 42.28 | 56.0 |
| 43.37 | 58.6 |

=====

[12]
This entry pairs a crystal structure of V5CrW2 with its calculated powder diffractogram. Radiation: copper Kα. Structure: a GGA-PBE-relaxed structure.
Intensities are scaled so that the largest is 100.

abc: 4.282 4.282 12.088
angles: 90.00 90.00 90.00
Sites, in units of the cell vectors:
V 0.000 0.000 0.000
V 0.000 0.500 0.120
V 0.000 0.500 0.380
V 0.000 0.500 0.620
V 0.000 0.500 0.880
V 0.500 0.000 0.120
V 0.500 0.000 0.380
V 0.500 0.000 0.620
V 0.500 0.000 0.880
V 0.500 0.500 0.500
Cr 0.000 0.000 0.500
Cr 0.500 0.500 0.000
W 0.000 0.000 0.249
W 0.000 0.000 0.751
W 0.500 0.500 0.251
W 0.500 0.500 0.749

Peak list (6 most intense, 10 to 90 degrees two-theta, sorted by position)
| two_theta | I/Imax |
| --- | --- |
| 14.66 | 29.7 |
| 29.52 | 20.9 |
| 33.09 | 21.5 |
| 42.24 | 100.0 |
| 44.93 | 10.9 |
| 77.22 | 31.5 |

=====

[13]
This entry pairs a crystal structure of V2Cr4W3 with its calculated powder diffractogram. Radiation: copper Kα. Structure: a GGA-PBE-relaxed structure.
Intensities are scaled so that the largest is 100.

abc: 4.244 4.244 7.829
angles: 90.00 90.00 120.00
Sites, in units of the cell vectors:
V 0.333 0.667 0.215
V 0.667 0.333 0.785
Cr 0.000 0.000 0.332
Cr 0.000 0.000 0.668
Cr 0.333 0.667 0.891
Cr 0.667 0.333 0.109
W 0.000 0.000 0.000
W 0.333 0.667 0.564
W 0.667 0.333 0.436

Peak list (6 most intense, 10 to 90 degrees two-theta, sorted by position)
| two_theta | I/Imax |
| --- | --- |
| 22.72 | 21.5 |
| 26.80 | 62.4 |
| 42.48 | 99.7 |
| 42.61 | 100.0 |
| 61.74 | 31.8 |
| 77.93 | 47.8 |

=====

[14]
This entry pairs a crystal structure of VCrW6 with its calculated powder diffractogram. Radiation: copper Kα. Structure: a GGA-PBE-relaxed structure.
Intensities are scaled so that the largest is 100.

abc: 6.283 8.828 4.426
angles: 90.00 90.00 90.00
Sites, in units of the cell vectors:
V 0.000 0.000 0.000
V 0.500 0.500 0.000
Cr 0.000 0.500 0.000
Cr 0.500 0.000 0.000
W 0.000 0.249 0.500
W 0.000 0.751 0.500
W 0.249 0.500 0.500
W 0.250 0.250 0.000
W 0.250 0.750 0.000
W 0.251 0.000 0.500
W 0.500 0.251 0.500
W 0.500 0.749 0.500
W 0.749 0.000 0.500
W 0.750 0.250 0.000
W 0.750 0.750 0.000
W 0.751 0.500 0.500

Peak list (6 most intense, 10 to 90 degrees two-theta, sorted by position)
| two_theta | I/Imax |
| --- | --- |
| 40.73 | 100.0 |
| 40.89 | 19.8 |
| 59.12 | 13.4 |
| 74.05 | 13.8 |
| 74.19 | 13.7 |
| 74.35 | 13.6 |